Starting from DFT lattice parameters and positions (GGA-PBE), the powder diffraction line list of NaCa3Ac4Te8 was calculated for Cu Kα (λ = 1.5418 Å).

Crystal structure
```
data_NaCa3Ac4Te8
_chemical_formula_sum 'Na3 Ca9 Ac12 Te24'
_space_group_name_H-M_alt 'R -3 m'
_space_group_IT_number 166
_space_group_name_Hall '-R 3 2"'
_cell_length_a 9.2567
_cell_length_b 9.2567
_cell_length_c 22.8225
_cell_angle_alpha 90.00
_cell_angle_beta 90.00
_cell_angle_gamma 120.00
loop_
_atom_site_label
_atom_site_fract_x
_atom_site_fract_y
_atom_site_fract_z
Na1 0.0000 0.0000 0.0000
Ca1 0.0000 0.5000 0.0000
Ac1 0.0000 0.0000 0.5000
Ac2 0.0000 0.5000 0.5000
Te1 0.0000 0.0000 0.2559
Te2 0.0014 0.5007 0.2551
```

The 10 most intense peaks (2θ = 10–80°), low angle first:
| hkl | d (Å) | 2theta | I/Imax |
| --- | --- | --- | --- |
| 0 0 3 | 7.607 | 11.63 | 21 |
| 0 2 1 | 3.948 | 22.52 | 22 |
| 0 2 4 | 3.280 | 27.19 | 100 |
| 2 0 5 | 3.012 | 29.66 | 16 |
| 2 0 8 | 2.324 | 38.74 | 38 |
| 2 2 0 | 2.314 | 38.92 | 39 |
| 4 0 4 | 1.891 | 48.12 | 21 |
| 2 2 12 | 1.469 | 63.29 | 17 |
| 2 4 4 | 1.464 | 63.54 | 18 |
| 4 2 8 | 1.338 | 70.36 | 13 |

Starting from DFT lattice parameters and positions (GGA-PBE), the powder diffraction line list of Tl2In5Au12 was calculated for Cu Kα (λ = 1.5418 Å).

Crystal structure
```
data_Tl2In5Au12
_chemical_formula_sum 'Tl4 In10 Au24'
_space_group_name_H-M_alt 'C 1 2/m 1'
_space_group_IT_number 12
_space_group_name_Hall '-C 2y'
_cell_length_a 14.6710
_cell_length_b 7.5023
_cell_length_c 7.4009
_cell_angle_alpha 90.00
_cell_angle_beta 96.74
_cell_angle_gamma 90.00
loop_
_atom_site_label
_atom_site_fract_x
_atom_site_fract_y
_atom_site_fract_z
Tl1 0.0000 0.2207 0.0000
In1 0.0000 0.0000 0.5000
In2 0.1707 0.5000 0.9562
In3 0.2391 0.0000 0.5421
Au1 0.0752 0.5000 0.2892
Au2 0.0906 0.3072 0.6347
Au3 0.1479 0.0000 0.8593
Au4 0.1929 0.1975 0.2176
```

The 10 most intense peaks (2θ = 10–80°), low angle first:
| hkl | d (Å) | 2theta | I/Imax |
| --- | --- | --- | --- |
| 5 1 0 | 2.716 | 32.98 | 14 |
| 3 1 2 | 2.605 | 34.43 | 18 |
| 2 2 -2 | 2.538 | 35.36 | 90 |
| 4 2 1 | 2.399 | 37.49 | 100 |
| 6 0 -1 | 2.391 | 37.62 | 45 |
| 1 3 -1 | 2.351 | 38.28 | 46 |
| 2 0 3 | 2.244 | 40.19 | 37 |
| 3 1 -3 | 2.198 | 41.07 | 15 |
| 0 4 0 | 1.875 | 48.55 | 13 |
| 8 0 2 | 1.560 | 59.21 | 14 |

Starting from DFT lattice parameters and positions (GGA-PBE), the powder diffraction line list of Al5As3Se3 was calculated for Cu Kα (λ = 1.5418 Å).

Crystal structure
```
data_Al5As3Se3
_chemical_formula_sum 'Al5 As3 Se3'
_space_group_name_H-M_alt 'P m m 2'
_space_group_IT_number 25
_space_group_name_Hall 'P 2 -2'
_cell_length_a 3.9858
_cell_length_b 11.9529
_cell_length_c 5.7256
_cell_angle_alpha 90.00
_cell_angle_beta 90.00
_cell_angle_gamma 90.00
loop_
_atom_site_label
_atom_site_fract_x
_atom_site_fract_y
_atom_site_fract_z
Al1 0.0000 0.0000 0.0000
Al2 0.0000 0.3416 0.0122
Al3 0.5000 0.1690 0.5040
As1 0.0000 0.1724 0.7579
As2 0.5000 0.0000 0.2551
Se1 0.0000 0.5000 0.7710
Se2 0.5000 0.3408 0.2731
```

The 10 most intense peaks (2θ = 10–80°), low angle first:
| hkl | d (Å) | 2theta | I/Imax |
| --- | --- | --- | --- |
| 1 0 1 | 3.271 | 27.27 | 100 |
| 0 0 2 | 2.863 | 31.24 | 8 |
| 1 3 0 | 2.818 | 31.76 | 16 |
| 1 3 2 | 2.008 | 45.15 | 37 |
| 2 0 0 | 1.993 | 45.52 | 18 |
| 0 3 3 | 1.721 | 53.21 | 15 |
| 1 6 1 | 1.702 | 53.88 | 29 |
| 2 0 2 | 1.635 | 56.25 | 6 |
| 2 6 0 | 1.409 | 66.35 | 6 |
| 2 3 3 | 1.303 | 72.58 | 11 |

Starting from DFT lattice parameters and positions (GGA-PBE), the powder diffraction line list of Nd2Mg was calculated for Cu Kα (λ = 1.5418 Å).

Crystal structure
```
data_Nd2Mg
_chemical_formula_sum 'Nd8 Mg4'
_space_group_name_H-M_alt 'I 41/a m d'
_space_group_IT_number 141
_cell_length_a 3.8513
_cell_length_b 3.8513
_cell_length_c 26.2909
_cell_angle_alpha 90.00
_cell_angle_beta 90.00
_cell_angle_gamma 90.00
loop_
_space_group_symop_operation_xyz
'x,y,z'
'-x,-y,-z'
'-y+1/4,x+3/4,z+1/4'
'y+1/4,-x+3/4,-z+1/4'
'-x+1/2,-y,z+1/2'
'x+1/2,y,-z+1/2'
'y+1/4,-x+1/4,z+3/4'
'-y+1/4,x+1/4,-z+3/4'
'x,-y,-z'
'-x,y,z'
'-y+1/4,-x+1/4,-z+3/4'
'y+1/4,x+1/4,z+3/4'
'-x+1/2,y,-z+1/2'
'x+1/2,-y,z+1/2'
'y+1/4,x+3/4,-z+1/4'
'-y+1/4,-x+3/4,z+1/4'
'x+1/2,y+1/2,z+1/2'
'-x+1/2,-y+1/2,-z+1/2'
'-y+3/4,x+1/4,z+3/4'
'y+3/4,-x+1/4,-z+3/4'
'-x,-y+1/2,z'
'x,y+1/2,-z'
'y+3/4,-x+3/4,z+1/4'
'-y+3/4,x+3/4,-z+1/4'
'x+1/2,-y+1/2,-z+1/2'
'-x+1/2,y+1/2,z+1/2'
'-y+3/4,-x+3/4,-z+1/4'
'y+3/4,x+3/4,z+1/4'
'-x,y+1/2,-z'
'x,-y+1/2,z'
'y+3/4,x+1/4,-z+3/4'
'-y+3/4,-x+1/4,z+3/4'
loop_
_atom_site_label
_atom_site_fract_x
_atom_site_fract_y
_atom_site_fract_z
Nd1 0.0000 0.2500 0.3044
Mg1 0.0000 0.2500 0.8750
```

The 10 most intense peaks (2θ = 10–80°), low angle first:
| hkl | d (Å) | 2theta | I/Imax |
| --- | --- | --- | --- |
| 1 0 1 | 3.811 | 23.34 | 100 |
| 0 0 8 | 3.286 | 27.13 | 36 |
| 1 0 5 | 3.107 | 28.73 | 43 |
| 1 0 7 | 2.689 | 33.32 | 72 |
| 1 1 2 | 2.667 | 33.61 | 62 |
| 1 0 9 | 2.327 | 38.69 | 23 |
| 1 1 6 | 2.313 | 38.94 | 51 |
| 2 0 0 | 1.926 | 47.20 | 27 |
| 2 1 7 | 1.566 | 59.00 | 28 |
| 1 1 14 | 1.546 | 59.82 | 27 |